Simulated X-ray diffraction stick pattern
Compound: CaMgCoHNF
Radiation: Cu Ka
Structure: the PBE+U geometry in Alexandria
Kinematic intensities with the Lorentz-polarization factor, no thermal factor.

Main lines, low angle first (2θ = 10–90°):
Position (°2θ)  I/Imax
12.78  100.0
27.07  27.6
34.19  43.1
35.31  40.2
37.63  63.8
43.28  45.3
48.63  18.7
60.36  14.3
60.79  14.3
67.11  20.8

Crystal structure
```
CaMgCoHNF
1.0
3.7444 0.0000 0.0000
0.0000 1.5933 6.9251
0.0000 -1.5933 6.9251
Ca Mg Co H N F
1 1 1 1 1 1
direct
0.0000 0.0000 0.0000
0.0000 0.7667 0.7667
0.5000 0.3775 0.3775
0.5000 0.5138 0.5138
0.0000 0.3677 0.3677
0.0000 0.1667 0.1667
```